The following is a calculated powder diffraction line list of CaSmDy2In4. It was derived from DFT lattice parameters and positions (PBE), using Cu Kα (weighted mean of Kα1 and Kα2).
Intensities are scaled so that the largest is 100.

a = 5.3593 Å, b = 5.3593 Å, c = 26.4167 Å
α = 90.00°, β = 90.00°, γ = 120.00°
Space group R-3m (No. 166, hexagonal axes)
Asymmetric unit:
Ca  0.0000  0.0000  0.0000
Sm  0.0000  0.0000  0.5000
Dy  0.0000  0.0000  0.2519
In  0.0000  0.0000  0.1253
In  0.0000  0.0000  0.3753

Largest 10 diffraction maxima, sorted by position, 2θ from 5° to 70°:
| two_theta | d/Å | Rel. int. |
| --- | --- | --- |
| 10.05 | 8.806 | 5 |
| 19.42 | 4.571 | 5 |
| 20.28 | 4.379 | 6 |
| 33.30 | 2.691 | 100 |
| 33.44 | 2.680 | 99 |
| 39.38 | 2.288 | 3 |
| 47.91 | 1.899 | 36 |
| 59.42 | 1.556 | 18 |
| 59.72 | 1.548 | 55 |
| 69.93 | 1.345 | 11 |

---

The following is a calculated powder diffraction line list of LiEr2Tl6. It was derived from DFT lattice parameters and positions (PBE), using Cu Kα (weighted mean of Kα1 and Kα2).
Intensities are scaled so that the largest is 100.

a = 8.3388 Å, b = 16.6639 Å, c = 3.5596 Å
α = 90.00°, β = 90.00°, γ = 90.00°
Space group Cmmm (No. 65)
Asymmetric unit:
Li  0.0000  0.0000  0.0000
Er  0.0000  0.3053  0.5000
Tl  0.1854  0.1570  0.0000
Tl  0.1882  0.5000  0.5000

Largest 10 diffraction maxima, sorted by position, 2θ from 5° to 70°:
| two_theta | d/Å | Rel. int. |
| --- | --- | --- |
| 27.77 | 3.212 | 40 |
| 31.73 | 2.820 | 28 |
| 32.23 | 2.777 | 60 |
| 33.10 | 2.706 | 89 |
| 34.85 | 2.575 | 65 |
| 36.13 | 2.486 | 100 |
| 39.71 | 2.270 | 30 |
| 41.58 | 2.172 | 31 |
| 57.14 | 1.612 | 40 |
| 64.38 | 1.447 | 38 |

---

The following is a calculated powder diffraction line list of ReB2Pt. It was derived from DFT lattice parameters and positions (PBE), using Cu Kα (weighted mean of Kα1 and Kα2).
Intensities are scaled so that the largest is 100.

a = 4.8612 Å, b = 4.8612 Å, c = 9.3270 Å
α = 90.00°, β = 90.00°, γ = 90.00°
Space group I-42d (No. 122)
Asymmetric unit:
Re  0.0000  0.0000  0.0000
B  0.2504  0.2500  0.1250
Pt  0.0000  0.0000  0.5000

Largest 8 diffraction maxima, sorted by position, 2θ from 5° to 70°:
| two_theta | d/Å | Rel. int. |
| --- | --- | --- |
| 32.36 | 2.767 | 100 |
| 36.98 | 2.431 | 32 |
| 38.61 | 2.332 | 14 |
| 53.30 | 1.719 | 13 |
| 54.54 | 1.683 | 25 |
| 63.75 | 1.460 | 29 |
| 65.95 | 1.416 | 13 |
| 67.73 | 1.383 | 11 |